Structure and theoretical powder diffractogram of MgV4O8F4 (a structure optimized by DFT (GGA+U); a wavelength of 1.5418 Å).
Kinematic intensities with the Lorentz-polarization factor, no thermal factor.

a b c (Å): 4.6614 3.6909 13.1518
angles (deg): 90.00 93.97 90.00
Sites, in units of the cell vectors:
Mg  0.0000  0.0000  0.0000
V  0.2792  0.0000  0.8075
V  0.4624  0.5000  0.6403
V  0.6530  0.5000  0.1392
V  0.9303  0.0000  0.3027
O  0.2747  0.0000  0.3067
O  0.2999  0.5000  0.1229
O  0.3555  0.0000  0.6622
O  0.3964  0.5000  0.7860
O  0.8070  0.5000  0.6382
O  0.8089  0.0000  0.1493
O  0.8155  0.5000  0.2801
O  0.9377  0.0000  0.8405
F  0.3262  0.5000  0.5105
F  0.3998  0.0000  0.9578
F  0.8323  0.5000  0.0048
F  0.8369  0.0000  0.4298

Main lines, sorted by position (5° ≤ 2θ ≤ 70°):
| 2θ/deg | I_rel | index |
| --- | --- | --- |
| 6.74 | 37 | 0 0 1 |
| 13.50 | 41 | 0 0 2 |
| 19.81 | 57 | 1 0 -1 |
| 20.70 | 62 | 1 0 1 |
| 22.66 | 19 | 1 0 -2 |
| 24.21 | 31 | 1 0 2 |
| 27.73 | 100 | 0 1 2 |
| 30.93 | 43 | 1 1 0 |
| 41.29 | 40 | 0 0 6 |
| 49.38 | 36 | 0 2 0 |